Computed X-ray powder pattern
Compound: CoGeBi2P
Radiation: copper Kα
Structure: a cell relaxed with PBE

Atomic structure:
```
data_CoGeBi2P
_chemical_formula_sum 'Co1 Ge1 Bi2 P1'
_space_group_name_H-M_alt 'P 1'
_space_group_IT_number 1
_cell_length_a 5.414
_cell_length_b 5.414
_cell_length_c 4.027
_cell_angle_alpha 90.00
_cell_angle_beta 90.00
_cell_angle_gamma 90.00
loop_
_space_group_symop_operation_xyz
'x,y,z'
loop_
_atom_site_label
_atom_site_type_symbol
_atom_site_fract_x
_atom_site_fract_y
_atom_site_fract_z
Co1 Co 0.000 0.000 0.000
Ge1 Ge 0.500 0.500 0.500
Bi1 Bi 0.000 0.500 0.000
Bi2 Bi 0.500 0.000 0.000
P1 P 0.000 0.000 0.500
```

Most intense lines, 2θ from 5° to 70°, in order of rising 2θ:
| h k l | Position (°2θ) | d/Å | I_rel |
| --- | --- | --- | --- |
| 0 0 1 | 22.07 | 4.027 | 40.8 |
| 1 1 0 | 23.23 | 3.828 | 30.6 |
| 1 1 1 | 32.26 | 2.775 | 100.0 |
| 2 0 0 | 33.09 | 2.707 | 76.0 |
| 2 0 1 | 40.14 | 2.247 | 36.7 |
| 2 2 0 | 47.50 | 1.914 | 27.8 |
| 2 2 1 | 52.97 | 1.729 | 16.8 |
| 2 0 2 | 57.00 | 1.616 | 32.4 |
| 3 1 1 | 58.59 | 1.576 | 37.9 |
| 2 2 2 | 67.52 | 1.387 | 19.6 |